Record 1
Theoretical powder diffractogram
Compound: Mg16Al12Co
Radiation: a wavelength of 1.5418 Å
Structure: a structure optimized by DFT (PBE)

Structure:
```
Mg16Al12Co
1.0
5.217 -7.324 0.000
5.217 7.324 0.000
-5.134 0.000 7.387
Mg Al Co
16 12 1
Direct
0.000 0.000 0.000
0.011 0.609 0.328
0.012 0.328 0.608
0.014 0.357 0.008
0.020 0.020 0.366
0.303 0.689 0.699
0.328 0.012 0.608
0.337 0.592 0.993
0.357 0.014 0.008
0.410 0.720 0.407
0.592 0.337 0.993
0.609 0.011 0.328
0.615 0.615 0.668
0.689 0.303 0.699
0.698 0.698 0.302
0.720 0.410 0.407
0.010 0.824 0.646
0.011 0.642 0.826
0.195 0.375 0.386
0.199 0.199 0.809
0.204 0.828 0.193
0.367 0.367 0.181
0.375 0.195 0.386
0.642 0.011 0.826
0.655 0.836 0.023
0.824 0.010 0.646
0.828 0.204 0.193
0.836 0.655 0.023
0.328 0.328 0.646
```

Largest 10 diffraction maxima, in order of rising 2θ, 5 to 70 degrees two-theta:
| Position (°2θ) | I (rel.) |
| --- | --- |
| 12.0 | 23 |
| 36.5 | 94 |
| 36.6 | 100 |
| 36.8 | 87 |
| 40.3 | 18 |
| 40.7 | 51 |
| 42.2 | 13 |
| 42.6 | 13 |
| 44.5 | 23 |
| 65.9 | 21 |


Record 2
Theoretical powder diffractogram
Compound: AlCoMoPt
Radiation: a wavelength of 1.5418 Å
Structure: a structure optimized by DFT (PBE)

Structure:
```
AlCoMoPt
1.0
6.082 0.000 0.000
0.000 6.082 0.000
0.000 0.000 6.082
Al Co Mo Pt
4 4 4 4
Direct
0.000 0.000 0.000
0.000 0.500 0.500
0.500 0.000 0.500
0.500 0.500 0.000
0.250 0.250 0.250
0.250 0.750 0.750
0.750 0.250 0.750
0.750 0.750 0.250
0.250 0.250 0.750
0.250 0.750 0.250
0.750 0.250 0.250
0.750 0.750 0.750
0.000 0.000 0.500
0.000 0.500 0.000
0.500 0.000 0.000
0.500 0.500 0.500
```

Largest 8 diffraction maxima, in order of rising 2θ, 5 to 70 degrees two-theta:
| Position (°2θ) | I (rel.) |
| --- | --- |
| 25.4 | 49 |
| 29.4 | 3 |
| 42.0 | 100 |
| 49.7 | 25 |
| 52.1 | 1 |
| 60.9 | 16 |
| 67.1 | 10 |
| 69.1 | 1 |